Li2Fe3F8: simulated powder X-ray diffraction pattern (λ = 1.5418 Å (Cu Kα)), based on a GGA+U-relaxed structure.
Neutral-atom scattering factors, no anomalous dispersion.

Main lines, in order of rising 2θ (15° ≤ 2θ ≤ 90°):
(hkl)	2θ (°)	I/Imax
0 0 3	17.38	100
1 0 1	17.58	24
0 1 2	20.27	28
1 1 3	33.96	11
2 0 2	35.59	74
2 0 5	45.03	62
0 2 7	54.20	26
2 2 0	59.96	26
2 2 3	62.95	16
0 2 10	70.97	12

Structural model:
Cell: 6.1708 6.1708 15.3059 Å, 90.00 90.00 120.00°
Space group R-3m (No. 166, hexagonal axes)
Symmetry-distinct sites (fractional):
Li: 0.0000 0.0000 0.1273 (multiplicity 6)
Fe: 0.0000 0.5000 0.0000 (multiplicity 9)
F: 0.0000 0.0000 0.4039 (multiplicity 6)
F: 0.0172 0.5086 0.4104 (multiplicity 18)